Starting from a structure optimized by DFT (GGA-PBE), the powder diffraction line list of Sr2YRh9 was computed for Cu Kα (weighted mean of Kα1 and Kα2).

Principal peaks in the range 10 to 80 degrees two-theta, low angle first:
- d 4.557, 2θ 19.5, rel. 24
- d 2.670, 2θ 33.6, rel. 21
- d 2.304, 2θ 39.1, rel. 30
- d 2.291, 2θ 39.3, rel. 100
- d 2.229, 2θ 40.5, rel. 27
- d 2.123, 2θ 42.6, rel. 36
- d 1.457, 2θ 63.9, rel. 23
- d 1.335, 2θ 70.5, rel. 25

Atomic structure:
abc: 9.4350 9.4350 9.4350
angles: 32.88 32.88 32.88
Element x y z (fractional)
Sr  0.1408  0.1408  0.1408
Sr  0.8592  0.8592  0.8592
Y  0.0000  0.0000  0.0000
Rh  0.0835  0.5770  0.5770
Rh  0.3323  0.3323  0.3323
Rh  0.4230  0.4230  0.9165
Rh  0.4230  0.9165  0.4230
Rh  0.5000  0.5000  0.5000
Rh  0.5770  0.0835  0.5770
Rh  0.5770  0.5770  0.0835
Rh  0.6677  0.6677  0.6677
Rh  0.9165  0.4230  0.4230